1.
Ru4WBr: simulated PXRD pattern (Cu Ka), based on a DFT-relaxed cell (GGA-PBE, Alexandria).
Kinematic intensities with the Lorentz-polarization factor, no thermal factor.

Principal peaks in the range 10° ≤ 2θ ≤ 80°, by angle:
| Position (°2θ) | I_rel | (hkl) |
| --- | --- | --- |
| 21.2 | 6 | 1 1 1 |
| 24.5 | 6 | 2 0 0 |
| 34.9 | 34 | 2 2 0 |
| 41.2 | 100 | 3 1 1 |
| 43.1 | 33 | 2 2 2 |
| 50.2 | 2 | 4 0 0 |
| 56.6 | 3 | 4 2 0 |
| 62.6 | 13 | 4 2 2 |
| 66.9 | 31 | 3 3 3 |
| 73.7 | 25 | 4 4 0 |

Cell and atoms:
```
data_Ru4WBr
_chemical_formula_sum 'Ru16 W4 Br4'
_cell_length_a 7.2709
_cell_length_b 7.2709
_cell_length_c 7.2709
_cell_angle_alpha 90.00
_cell_angle_beta 90.00
_cell_angle_gamma 90.00
_symmetry_space_group_name_H-M 'F -4 3 m'
_symmetry_Int_Tables_number 216
_symmetry_space_group_name_Hall 'F -4 2 3'
loop_
_atom_site_label
_atom_site_fract_x
_atom_site_fract_y
_atom_site_fract_z
Ru1 0.1247 0.1247 0.1247
W1 0.2500 0.2500 0.7500
Br1 0.0000 0.0000 0.5000
```

---

2.
ZnRuBr2: simulated PXRD pattern (Cu Ka), based on a DFT-relaxed cell (GGA-PBE, Alexandria).
Kinematic intensities with the Lorentz-polarization factor, no thermal factor.

Principal peaks in the range 10° ≤ 2θ ≤ 80°, by angle:
| Position (°2θ) | I_rel | (hkl) |
| --- | --- | --- |
| 10.7 | 43 | 0 0 3 |
| 21.5 | 20 | 0 0 6 |
| 32.4 | 100 | 1 0 4 |
| 38.7 | 28 | 1 0 7 |
| 41.3 | 23 | 0 1 8 |
| 47.1 | 9 | 1 0 10 |
| 50.2 | 25 | 0 1 11 |
| 51.3 | 34 | 1 1 0 |
| 62.0 | 15 | 0 2 4 |
| 79.1 | 13 | 1 1 15 |

Cell and atoms:
```
data_ZnRuBr2
_chemical_formula_sum 'Zn3 Ru3 Br6'
_cell_length_a 3.5632
_cell_length_b 3.5632
_cell_length_c 24.7522
_cell_angle_alpha 90.00
_cell_angle_beta 90.00
_cell_angle_gamma 120.00
_symmetry_space_group_name_H-M 'R 3 m'
_symmetry_Int_Tables_number 160
_symmetry_space_group_name_Hall 'R 3 -2"'
loop_
_atom_site_label
_atom_site_fract_x
_atom_site_fract_y
_atom_site_fract_z
Zn1 0.0000 0.0000 0.0000
Ru1 0.0000 0.0000 0.2557
Br1 0.0000 0.0000 0.5382
Br2 0.0000 0.0000 0.7329
```

---

3.
SbS3Br3: simulated PXRD pattern (Cu Ka), based on a DFT-relaxed cell (GGA-PBE, Alexandria).
Kinematic intensities with the Lorentz-polarization factor, no thermal factor.

Principal peaks in the range 10° ≤ 2θ ≤ 80°, by angle:
| Position (°2θ) | I_rel | (hkl) |
| --- | --- | --- |
| 10.3 | 25 | 0 0 1 |
| 13.0 | 100 | 0 1 0 |
| 19.3 | 20 | 2 -1 0 |
| 20.6 | 28 | 1 0 -2 |
| 20.7 | 48 | 0 0 2 |
| 21.9 | 19 | 1 1 -2 |
| 22.5 | 30 | 0 2 -1 |
| 28.2 | 45 | 2 0 1 |
| 28.4 | 23 | 0 2 -3 |
| 29.8 | 33 | 1 2 -2 |

Cell and atoms:
```
data_SbS3Br3
_chemical_formula_sum 'Sb2 S6 Br6'
_cell_length_a 9.2146
_cell_length_b 9.2147
_cell_length_c 10.0676
_cell_angle_alpha 116.77
_cell_angle_beta 90.12
_cell_angle_gamma 119.97
_symmetry_space_group_name_H-M 'P -1'
_symmetry_Int_Tables_number 2
loop_
_symmetry_equiv_pos_as_xyz
'x,y,z'
'-x,-y,-z'
loop_
_atom_site_label
_atom_site_fract_x
_atom_site_fract_y
_atom_site_fract_z
Sb1 0.1988 0.3980 0.0952
S1 0.2736 0.7052 0.7372
S2 0.4317 0.9638 0.7378
S3 0.4680 0.1943 0.2625
Br1 0.0758 0.2224 0.2432
Br2 0.1466 0.6674 0.2428
Br3 0.4791 0.4033 0.7568
```

---

4.
Sr4SbS2Br: simulated PXRD pattern (Cu Ka), based on a DFT-relaxed cell (GGA-PBE, Alexandria).
Kinematic intensities with the Lorentz-polarization factor, no thermal factor.

Principal peaks in the range 10° ≤ 2θ ≤ 80°, by angle:
| Position (°2θ) | I_rel | (hkl) |
| --- | --- | --- |
| 27.9 | 51 | 0 4 0 |
| 28.1 | 100 | 2 0 2 |
| 40.1 | 75 | 2 4 2 |
| 40.2 | 37 | 4 0 0 |
| 49.7 | 40 | 4 4 0 |
| 65.4 | 17 | 2 8 2 |
| 65.8 | 17 | 4 4 4 |
| 65.9 | 17 | 6 0 2 |
| 72.7 | 13 | 4 8 0 |
| 73.0 | 25 | 6 4 2 |

Cell and atoms:
```
data_Sr4SbS2Br
_chemical_formula_sum 'Sr16 Sb4 S8 Br4'
_cell_length_a 8.9688
_cell_length_b 12.7795
_cell_length_c 8.9689
_cell_angle_alpha 90.00
_cell_angle_beta 90.00
_cell_angle_gamma 90.00
_symmetry_space_group_name_H-M 'F m m 2'
_symmetry_Int_Tables_number 42
_symmetry_space_group_name_Hall 'F 2 -2'
loop_
_atom_site_label
_atom_site_fract_x
_atom_site_fract_y
_atom_site_fract_z
Sr1 0.0000 0.2460 0.0000
Sr2 0.2500 0.0000 0.2506
Sb1 0.0000 0.0000 0.0006
S1 0.2500 0.2500 0.2500
Br1 0.0000 0.0000 0.5006
```

---

5.
Se4S2Br3: simulated PXRD pattern (Cu Ka), based on a DFT-relaxed cell (GGA-PBE, Alexandria).
Kinematic intensities with the Lorentz-polarization factor, no thermal factor.

Principal peaks in the range 10° ≤ 2θ ≤ 80°, by angle:
| Position (°2θ) | I_rel | (hkl) |
| --- | --- | --- |
| 13.2 | 67 | 2 0 0 |
| 20.7 | 100 | 2 0 -2 |
| 23.4 | 75 | 3 1 -2 |
| 25.3 | 49 | 1 3 0 |
| 26.4 | 44 | 2 2 -2 |
| 26.5 | 71 | 1 3 -1 |
| 29.8 | 64 | 3 3 -1 |
| 32.8 | 52 | 1 3 -2 |
| 34.3 | 47 | 5 1 0 |
| 40.0 | 43 | 3 1 2 |

Cell and atoms:
```
data_Se4S2Br3
_chemical_formula_sum 'Se16 S8 Br12'
_cell_length_a 15.8016
_cell_length_b 10.9569
_cell_length_c 8.5832
_cell_angle_alpha 90.00
_cell_angle_beta 121.63
_cell_angle_gamma 90.00
_symmetry_space_group_name_H-M 'C 1 2/c 1'
_symmetry_Int_Tables_number 15
loop_
_symmetry_equiv_pos_as_xyz
'x,y,z'
'-x,-y,-z'
'-x,y,-z+1/2'
'x,-y,z+1/2'
'x+1/2,y+1/2,z'
'-x+1/2,-y+1/2,-z'
'-x+1/2,y+1/2,-z+1/2'
'x+1/2,-y+1/2,z+1/2'
loop_
_atom_site_label
_atom_site_fract_x
_atom_site_fract_y
_atom_site_fract_z
Se1 0.1450 0.2009 0.2613
Se2 0.1917 0.4426 0.9686
S1 0.2102 0.3611 0.5974
Br1 0.0000 0.4631 0.2500
Br2 0.1379 0.1169 0.8423
```

---

6.
Se2S3Br4: simulated PXRD pattern (Cu Ka), based on a DFT-relaxed cell (GGA-PBE, Alexandria).
Kinematic intensities with the Lorentz-polarization factor, no thermal factor.

Principal peaks in the range 10° ≤ 2θ ≤ 80°, by angle:
| Position (°2θ) | I_rel | (hkl) |
| --- | --- | --- |
| 10.7 | 100 | 0 2 0 |
| 16.9 | 82 | 1 3 0 |
| 19.8 | 62 | 3 1 -1 |
| 24.2 | 30 | 3 1 1 |
| 25.5 | 20 | 4 2 -1 |
| 28.1 | 20 | 2 0 -2 |
| 28.3 | 40 | 0 0 2 |
| 32.5 | 22 | 6 0 0 |
| 34.1 | 26 | 1 3 2 |
| 43.5 | 26 | 0 6 2 |

Cell and atoms:
```
data_Se2S3Br4
_chemical_formula_sum 'Se8 S12 Br16'
_cell_length_a 16.9181
_cell_length_b 16.6085
_cell_length_c 6.4513
_cell_angle_alpha 90.00
_cell_angle_beta 102.16
_cell_angle_gamma 90.00
_symmetry_space_group_name_H-M 'C 1 2/c 1'
_symmetry_Int_Tables_number 15
loop_
_symmetry_equiv_pos_as_xyz
'x,y,z'
'-x,-y,-z'
'-x,y,-z+1/2'
'x,-y,z+1/2'
'x+1/2,y+1/2,z'
'-x+1/2,-y+1/2,-z'
'-x+1/2,y+1/2,-z+1/2'
'x+1/2,-y+1/2,z+1/2'
loop_
_atom_site_label
_atom_site_fract_x
_atom_site_fract_y
_atom_site_fract_z
Se1 0.2240 0.0080 0.4902
S1 0.0000 0.4409 0.7500
S2 0.1006 0.0013 0.4232
Br1 0.0784 0.3616 0.9791
Br2 0.2345 0.3511 0.4991
```

---

7.
Se2S6Br: simulated PXRD pattern (Cu Ka), based on a DFT-relaxed cell (GGA-PBE, Alexandria).
Kinematic intensities with the Lorentz-polarization factor, no thermal factor.

Principal peaks in the range 10° ≤ 2θ ≤ 80°, by angle:
| Position (°2θ) | I_rel | (hkl) |
| --- | --- | --- |
| 12.6 | 16 | 0 0 1 |
| 16.6 | 25 | 0 1 1 |
| 16.9 | 14 | 1 1 0 |
| 18.5 | 100 | 1 0 1 |
| 21.1 | 19 | 1 -1 0 |
| 22.7 | 19 | 1 1 -1 |
| 25.4 | 15 | 0 0 2 |
| 30.1 | 37 | 2 0 1 |
| 32.6 | 15 | 1 2 -1 |
| 33.6 | 45 | 0 2 2 |

Cell and atoms:
```
data_Se2S6Br
_chemical_formula_sum 'Se2 S6 Br1'
_cell_length_a 6.7021
_cell_length_b 6.8667
_cell_length_c 7.1622
_cell_angle_alpha 78.69
_cell_angle_beta 87.29
_cell_angle_gamma 77.19
_symmetry_space_group_name_H-M 'P 1'
_symmetry_Int_Tables_number 1
loop_
_symmetry_equiv_pos_as_xyz
'x,y,z'
loop_
_atom_site_label
_atom_site_fract_x
_atom_site_fract_y
_atom_site_fract_z
Se1 0.0000 0.0000 0.0000
Se2 0.4908 0.5487 0.2981
S1 0.1863 0.6712 0.7269
S2 0.3050 0.8768 0.5709
S3 0.5901 0.3218 0.1119
S4 0.5911 0.8098 0.1128
S5 0.8995 0.2242 0.1884
S6 0.9010 0.7368 0.1829
Br1 0.2458 0.2749 0.6487
```

---

8.
SeS2Br2: simulated PXRD pattern (Cu Ka), based on a DFT-relaxed cell (GGA-PBE, Alexandria).
Kinematic intensities with the Lorentz-polarization factor, no thermal factor.

Principal peaks in the range 10° ≤ 2θ ≤ 80°, by angle:
| Position (°2θ) | I_rel | (hkl) |
| --- | --- | --- |
| 15.2 | 15 | 1 0 0 |
| 19.2 | 100 | 1 -1 1 |
| 21.1 | 28 | -1 1 1 |
| 26.4 | 46 | 0 0 3 |
| 26.9 | 34 | -1 1 2 |
| 35.4 | 13 | 1 2 -1 |
| 36.5 | 13 | 1 2 -2 |
| 37.5 | 15 | 2 1 0 |
| 48.6 | 15 | -2 2 3 |
| 50.8 | 12 | 1 2 -5 |

Cell and atoms:
```
data_SeS2Br2
_chemical_formula_sum 'Se2 S4 Br4'
_cell_length_a 6.0258
_cell_length_b 6.5059
_cell_length_c 10.4945
_cell_angle_alpha 104.03
_cell_angle_beta 91.95
_cell_angle_gamma 104.03
_symmetry_space_group_name_H-M 'P -1'
_symmetry_Int_Tables_number 2
loop_
_symmetry_equiv_pos_as_xyz
'x,y,z'
'-x,-y,-z'
loop_
_atom_site_label
_atom_site_fract_x
_atom_site_fract_y
_atom_site_fract_z
Se1 0.1563 0.0229 0.3078
S1 0.0296 0.3432 0.0098
S2 0.2394 0.8791 0.0932
Br1 0.0779 0.3207 0.6489
Br2 0.4565 0.7154 0.6671
```

---

9.
Zr2SeSBr: simulated PXRD pattern (Cu Ka), based on a DFT-relaxed cell (GGA-PBE, Alexandria).
Kinematic intensities with the Lorentz-polarization factor, no thermal factor.

Principal peaks in the range 10° ≤ 2θ ≤ 80°, by angle:
| Position (°2θ) | I_rel | (hkl) |
| --- | --- | --- |
| 17.6 | 4 | 0 0 1 |
| 31.3 | 100 | 1 1 1 |
| 35.7 | 26 | 0 0 2 |
| 36.6 | 48 | 2 0 0 |
| 52.1 | 33 | 2 0 2 |
| 52.8 | 16 | 2 2 0 |
| 61.4 | 14 | 1 1 3 |
| 62.7 | 26 | 3 1 1 |
| 65.4 | 17 | 2 2 2 |
| 77.9 | 5 | 4 0 0 |

Cell and atoms:
```
data_Zr2SeSBr
_chemical_formula_sum 'Zr2 Se1 S1 Br1'
_cell_length_a 4.9064
_cell_length_b 4.9064
_cell_length_c 5.0289
_cell_angle_alpha 90.00
_cell_angle_beta 90.00
_cell_angle_gamma 90.00
_symmetry_space_group_name_H-M 'P 4/m m m'
_symmetry_Int_Tables_number 123
_symmetry_space_group_name_Hall '-P 4 2'
loop_
_atom_site_label
_atom_site_fract_x
_atom_site_fract_y
_atom_site_fract_z
Zr1 0.0000 0.5000 0.0000
Se1 0.0000 0.0000 0.5000
S1 0.0000 0.0000 0.0000
Br1 0.5000 0.5000 0.5000
```

---

10.
SmSBr: simulated PXRD pattern (Cu Ka), based on a DFT-relaxed cell (GGA-PBE, Alexandria).
Kinematic intensities with the Lorentz-polarization factor, no thermal factor.

Principal peaks in the range 10° ≤ 2θ ≤ 80°, by angle:
| Position (°2θ) | I_rel | (hkl) |
| --- | --- | --- |
| 18.1 | 59 | 0 1 1 |
| 20.9 | 89 | 1 1 -1 |
| 23.6 | 62 | 1 1 1 |
| 26.1 | 63 | 0 0 2 |
| 29.7 | 100 | 2 1 -1 |
| 30.4 | 50 | 1 2 -1 |
| 33.6 | 48 | 2 1 1 |
| 36.7 | 42 | 0 2 2 |
| 37.4 | 40 | 1 2 -2 |
| 43.6 | 33 | 1 3 1 |

Cell and atoms:
```
data_SmSBr
_chemical_formula_sum 'Sm4 S4 Br4'
_cell_length_a 7.0131
_cell_length_b 7.0235
_cell_length_c 6.9482
_cell_angle_alpha 90.00
_cell_angle_beta 100.28
_cell_angle_gamma 90.00
_symmetry_space_group_name_H-M 'P 1 21/c 1'
_symmetry_Int_Tables_number 14
loop_
_symmetry_equiv_pos_as_xyz
'x,y,z'
'-x,-y,-z'
'-x,y+1/2,-z+1/2'
'x,-y+1/2,z+1/2'
loop_
_atom_site_label
_atom_site_fract_x
_atom_site_fract_y
_atom_site_fract_z
Sm1 0.1794 0.0356 0.2916
S1 0.0526 0.7413 0.5091
Br1 0.4217 0.1281 0.6990
```

---

11.
Sm3S4Br: simulated PXRD pattern (Cu Ka), based on a DFT-relaxed cell (GGA-PBE, Alexandria).
Kinematic intensities with the Lorentz-polarization factor, no thermal factor.

Principal peaks in the range 10° ≤ 2θ ≤ 80°, by angle:
| Position (°2θ) | I_rel | (hkl) |
| --- | --- | --- |
| 13.1 | 63 | 2 0 0 |
| 19.1 | 99 | 2 0 -2 |
| 21.9 | 100 | 1 1 -2 |
| 23.3 | 83 | 3 1 0 |
| 24.9 | 55 | 0 2 0 |
| 25.7 | 97 | 1 1 2 |
| 35.5 | 91 | 5 1 0 |
| 36.8 | 96 | 4 2 -2 |
| 39.2 | 91 | 3 1 -4 |
| 44.4 | 82 | 1 3 2 |

Cell and atoms:
```
data_Sm3S4Br
_chemical_formula_sum 'Sm12 S16 Br4'
_cell_length_a 14.4523
_cell_length_b 7.1441
_cell_length_c 9.8521
_cell_angle_alpha 90.00
_cell_angle_beta 110.68
_cell_angle_gamma 90.00
_symmetry_space_group_name_H-M 'C 1 c 1'
_symmetry_Int_Tables_number 9
loop_
_symmetry_equiv_pos_as_xyz
'x,y,z'
'x,-y,z+1/2'
'x+1/2,y+1/2,z'
'x+1/2,-y+1/2,z+1/2'
loop_
_atom_site_label
_atom_site_fract_x
_atom_site_fract_y
_atom_site_fract_z
Sm1 0.0000 0.0055 0.0000
Sm2 0.0957 0.4881 0.1937
Sm3 0.3622 0.0223 0.2765
S1 0.0529 0.3414 0.4283
S2 0.1756 0.1591 0.1492
S3 0.4067 0.1704 0.5528
S4 0.4831 0.3026 0.2397
Br1 0.2909 0.3434 0.8502
```

---

12.
SmSBr: simulated PXRD pattern (Cu Ka), based on a DFT-relaxed cell (GGA-PBE, Alexandria).
Kinematic intensities with the Lorentz-polarization factor, no thermal factor.

Principal peaks in the range 10° ≤ 2θ ≤ 80°, by angle:
| Position (°2θ) | I_rel | (hkl) |
| --- | --- | --- |
| 10.4 | 61 | 1 0 0 |
| 19.1 | 100 | 1 0 1 |
| 28.4 | 53 | 2 1 1 |
| 29.6 | 99 | 2 2 0 |
| 32.3 | 41 | 0 0 2 |
| 41.5 | 37 | 3 2 1 |
| 42.4 | 35 | 4 0 0 |
| 44.4 | 64 | 2 2 2 |
| 54.2 | 34 | 4 0 2 |
| 78.9 | 20 | 6 2 2 |

Cell and atoms:
```
data_SmSBr
_chemical_formula_sum 'Sm4 S4 Br4'
_cell_length_a 8.5358
_cell_length_b 8.5358
_cell_length_c 5.5481
_cell_angle_alpha 90.00
_cell_angle_beta 90.00
_cell_angle_gamma 90.00
_symmetry_space_group_name_H-M 'P 42/m m c'
_symmetry_Int_Tables_number 131
_symmetry_space_group_name_Hall '-P 4c 2'
loop_
_atom_site_label
_atom_site_fract_x
_atom_site_fract_y
_atom_site_fract_z
Sm1 0.0000 0.2506 0.0000
S1 0.0000 0.2168 0.5000
Br1 0.2291 0.5000 0.0000
```